Record 1
BaSrRuN2: simulated X-ray diffraction stick pattern (Cu Kα (weighted mean of Kα1 and Kα2)), based on a crystal structure in Alexandria, relaxed with PBE.

Peak list (8 most intense, 10 to 80 degrees two-theta, low angle first)
16.5°, I 282; 27.8°, I 167; 29.9°, I 261; 32.5°, I 1000; 33.4°, I 194; 45.4°, I 220; 54.7°, I 219; 59.1°, I 174

```
BaSrRuN2
1.0
5.3685 0.0000 0.0000
0.0000 5.9767 0.0000
0.0000 0.0000 7.6264
Ba Sr Ru N
2 2 2 4
Direct
0.0000 0.0000 0.2500 Ba
0.0000 0.0000 0.7500 Ba
0.5000 0.5000 0.2500 Sr
0.5000 0.5000 0.7500 Sr
0.0000 0.5000 0.0000 Ru
0.0000 0.5000 0.5000 Ru
0.2364 0.2810 0.0000 N
0.2364 0.7190 0.5000 N
0.7636 0.2810 0.5000 N
0.7636 0.7190 0.0000 N
```

=====

Record 2
BaSN3: simulated X-ray diffraction stick pattern (Cu Kα (weighted mean of Kα1 and Kα2)), based on a crystal structure in Alexandria, relaxed with PBE.

Peak list (8 most intense, 10 to 80 degrees two-theta, low angle first)
19.4°, I 347; 24.2°, I 1000; 30.5°, I 400; 36.4°, I 133; 38.2°, I 288; 39.3°, I 195; 39.9°, I 223; 50.6°, I 194

```
BaSN3
1.0
2.9301 1.6917 3.5483
-2.9301 1.6917 3.5483
0.0000 -3.3833 3.5483
Ba S N
1 1 3
Direct
0.0000 0.0000 0.0000 Ba
0.5000 0.5000 0.5000 S
0.2421 0.5000 0.7579 N
0.5000 0.7579 0.2421 N
0.7579 0.2421 0.5000 N
```

=====

Record 3
Ba3SiN3: simulated X-ray diffraction stick pattern (Cu Kα (weighted mean of Kα1 and Kα2)), based on a crystal structure in Alexandria, relaxed with PBE.

Peak list (8 most intense, 10 to 80 degrees two-theta, low angle first)
23.0°, I 424; 25.6°, I 1000; 30.4°, I 270; 33.3°, I 160; 35.6°, I 203; 42.0°, I 330; 44.3°, I 206; 52.5°, I 184

```
Ba3SiN3
1.0
11.6000 -3.4126 0.0000
11.6000 3.4126 0.0000
0.0000 0.0000 9.4733
Ba Si N
12 4 12
Direct
0.0855 0.6130 0.6470 Ba
0.0865 0.9135 0.8271 Ba
0.1130 0.5855 0.1470 Ba
0.3870 0.9145 0.6470 Ba
0.4135 0.5865 0.3271 Ba
0.4145 0.8870 0.1470 Ba
0.5855 0.1130 0.8530 Ba
0.5865 0.4135 0.6729 Ba
0.6130 0.0855 0.3530 Ba
0.8870 0.4145 0.8530 Ba
0.9135 0.0865 0.1729 Ba
0.9145 0.3870 0.3530 Ba
0.0529 0.0529 0.5000 Si
0.4471 0.4471 0.0000 Si
0.5529 0.5529 0.0000 Si
0.9471 0.9471 0.5000 Si
0.0035 0.8059 0.3623 N
0.1763 0.8237 0.5577 N
0.1941 0.9965 0.3623 N
0.3059 0.5035 0.8623 N
0.3237 0.6763 0.0577 N
0.4965 0.6941 0.8623 N
0.5035 0.3059 0.1377 N
0.6763 0.3237 0.9423 N
0.6941 0.4965 0.1377 N
0.8059 0.0035 0.6377 N
0.8237 0.1763 0.4423 N
0.9965 0.1941 0.6377 N
```

=====

Record 4
Ba3Si2N4: simulated X-ray diffraction stick pattern (Cu Kα (weighted mean of Kα1 and Kα2)), based on a crystal structure in Alexandria, relaxed with PBE.

Peak list (8 most intense, 10 to 80 degrees two-theta, low angle first)
22.3°, I 220; 23.0°, I 208; 28.4°, I 431; 29.4°, I 1000; 31.4°, I 339; 38.7°, I 271; 50.7°, I 214; 54.6°, I 172

```
Ba3Si2N4
1.0
-2.8501 8.1201 3.8639
2.8501 -8.1201 3.8639
2.8501 8.1201 -3.8639
Ba Si N
6 4 8
Direct
0.1730 0.0650 0.1080 Ba
0.1797 0.4297 0.7500 Ba
0.4571 0.0650 0.3920 Ba
0.5429 0.9350 0.6080 Ba
0.8203 0.5703 0.2500 Ba
0.8270 0.9350 0.8920 Ba
0.1041 0.6391 0.4650 Si
0.3259 0.3609 0.9650 Si
0.6741 0.6391 0.0350 Si
0.8959 0.3609 0.5350 Si
0.1496 0.5773 0.5723 N
0.1837 0.0000 0.6837 N
0.1837 0.5000 0.1837 N
0.4950 0.4227 0.0723 N
0.5050 0.5773 0.9277 N
0.8163 0.0000 0.3163 N
0.8163 0.5000 0.8163 N
0.8504 0.4227 0.4277 N
```

=====

Record 5
Ba4SiN4: simulated X-ray diffraction stick pattern (Cu Kα (weighted mean of Kα1 and Kα2)), based on a crystal structure in Alexandria, relaxed with PBE.

Peak list (8 most intense, 10 to 80 degrees two-theta, low angle first)
27.2°, I 1000; 29.4°, I 555; 31.7°, I 673; 33.1°, I 459; 40.2°, I 256; 45.4°, I 256; 52.1°, I 339; 53.7°, I 273

```
Ba4SiN4
1.0
7.9918 0.0000 0.0000
0.0000 7.9918 0.0000
0.0000 0.0000 5.7607
Ba Si N
8 2 8
Direct
0.0276 0.2500 0.1062 Ba
0.2500 0.0276 0.6062 Ba
0.2500 0.4724 0.6062 Ba
0.4724 0.2500 0.1062 Ba
0.5276 0.7500 0.8938 Ba
0.7500 0.5276 0.3938 Ba
0.7500 0.9724 0.3938 Ba
0.9724 0.7500 0.8938 Ba
0.2500 0.7500 0.2500 Si
0.7500 0.2500 0.7500 Si
0.0664 0.7500 0.4371 N
0.2500 0.5664 0.0629 N
0.2500 0.9336 0.0629 N
0.4336 0.7500 0.4371 N
0.5664 0.2500 0.5629 N
0.7500 0.0664 0.9371 N
0.7500 0.4336 0.9371 N
0.9336 0.2500 0.5629 N
```

=====

Record 6
Ba2SiN3: simulated X-ray diffraction stick pattern (Cu Kα (weighted mean of Kα1 and Kα2)), based on a crystal structure in Alexandria, relaxed with PBE.

Peak list (8 most intense, 10 to 80 degrees two-theta, low angle first)
22.1°, I 602; 27.0°, I 450; 27.8°, I 387; 28.2°, I 729; 30.7°, I 1000; 31.1°, I 748; 38.2°, I 319; 42.2°, I 324

```
Ba2SiN3
1.0
2.8727 -5.9500 0.0000
2.8727 5.9500 0.0000
0.0000 0.0000 12.8330
Ba Si N
8 4 12
Direct
0.0592 0.9408 0.8598 Ba
0.1426 0.8574 0.4207 Ba
0.3574 0.6426 0.9207 Ba
0.4408 0.5592 0.3598 Ba
0.5592 0.4408 0.6402 Ba
0.6426 0.3574 0.0793 Ba
0.8574 0.1426 0.5793 Ba
0.9408 0.0592 0.1402 Ba
0.2353 0.7647 0.6711 Si
0.2647 0.7353 0.1711 Si
0.7353 0.2647 0.8289 Si
0.7647 0.2353 0.3289 Si
0.0029 0.4971 0.7500 N
0.0927 0.9073 0.6355 N
0.1667 0.8333 0.0704 N
0.3333 0.6667 0.5704 N
0.4073 0.5927 0.1355 N
0.4971 0.0029 0.2500 N
0.5029 0.9971 0.7500 N
0.5927 0.4073 0.8645 N
0.6667 0.3333 0.4296 N
0.8333 0.1667 0.9296 N
0.9073 0.0927 0.3645 N
0.9971 0.5029 0.2500 N
```

=====

Record 7
BaTb2SiN4: simulated X-ray diffraction stick pattern (Cu Kα (weighted mean of Kα1 and Kα2)), based on a crystal structure in Alexandria, relaxed with PBE.

Peak list (8 most intense, 10 to 80 degrees two-theta, low angle first)
27.0°, I 852; 29.1°, I 482; 30.5°, I 352; 31.2°, I 1000; 35.1°, I 439; 37.6°, I 524; 47.6°, I 318; 52.3°, I 293

```
BaTb2SiN4
1.0
1.7070 -6.1411 0.0000
1.7070 6.1411 0.0000
0.0000 0.0000 11.7315
Ba Tb Si N
2 4 2 8
Direct
0.0882 0.9118 0.7500 Ba
0.9118 0.0882 0.2500 Ba
0.3680 0.6320 0.5403 Tb
0.3680 0.6320 0.9597 Tb
0.6320 0.3680 0.0403 Tb
0.6320 0.3680 0.4597 Tb
0.1863 0.8137 0.2500 Si
0.8137 0.1863 0.7500 Si
0.0000 0.0000 0.0000 N
0.0000 0.0000 0.5000 N
0.2571 0.7429 0.1229 N
0.2571 0.7429 0.3771 N
0.3907 0.6093 0.7500 N
0.6093 0.3907 0.2500 N
0.7429 0.2571 0.6229 N
0.7429 0.2571 0.8771 N
```

=====

Record 8
BaYbSi4N7: simulated X-ray diffraction stick pattern (Cu Kα (weighted mean of Kα1 and Kα2)), based on a crystal structure in Alexandria, relaxed with PBE.

Peak list (8 most intense, 10 to 80 degrees two-theta, low angle first)
16.8°, I 312; 19.0°, I 274; 29.3°, I 749; 31.9°, I 1000; 34.5°, I 807; 35.1°, I 401; 53.6°, I 395; 58.1°, I 277

```
BaYbSi4N7
1.0
6.1025 0.0000 0.0000
-3.0512 5.2849 0.0000
0.0000 0.0000 9.9301
Ba Yb Si N
2 2 8 14
Direct
0.3333 0.6667 0.0000 Ba
0.6667 0.3333 0.5000 Ba
0.3333 0.6667 0.3727 Yb
0.6667 0.3333 0.8727 Yb
0.0000 0.0000 0.4511 Si
0.0000 0.0000 0.9511 Si
0.1743 0.3486 0.6834 Si
0.1743 0.8257 0.6834 Si
0.3486 0.1743 0.1834 Si
0.6514 0.8257 0.6834 Si
0.8257 0.1743 0.1834 Si
0.8257 0.6514 0.1834 Si
0.0000 0.0000 0.2609 N
0.0000 0.0000 0.7609 N
0.0252 0.5126 0.7355 N
0.1521 0.3042 0.5114 N
0.1521 0.8479 0.5114 N
0.3042 0.1521 0.0114 N
0.4874 0.5126 0.7355 N
0.4874 0.9748 0.7355 N
0.5126 0.0252 0.2355 N
0.5126 0.4874 0.2355 N
0.6958 0.8479 0.5114 N
0.8479 0.1521 0.0114 N
0.8479 0.6958 0.0114 N
0.9748 0.4874 0.2355 N
```